YHoCl6: theoretical X-ray powder pattern (Cu Kα (weighted mean of Kα1 and Kα2)), based on a cell relaxed with GGA-PBE.
Lines closer than 0.1° are merged.

Largest 10 diffraction maxima, low angle first, 15° ≤ 2θ ≤ 90°:
- 15.77 deg, rel. 46
- 17.90 deg, rel. 32
- 21.05 deg, rel. 19
- 26.52 deg, rel. 51
- 32.87 deg, rel. 100
- 36.18 deg, rel. 19
- 44.02 deg, rel. 15
- 45.95 deg, rel. 35
- 48.32 deg, rel. 21
- 48.48 deg, rel. 24

Structure:
```
data_YHoCl6
_chemical_formula_sum 'Y1 Ho1 Cl6'
_cell_length_a 6.847
_cell_length_b 6.847
_cell_length_c 6.433
_cell_angle_alpha 100.28
_cell_angle_beta 100.28
_cell_angle_gamma 120.13
_space_group_name_H-M_alt 'P 1'
_space_group_IT_number 1
_space_group_name_Hall 'P 1'
loop_
_atom_site_label
_atom_site_type_symbol
_atom_site_fract_x
_atom_site_fract_y
_atom_site_fract_z
Y1 Y 0.000 0.000 0.000
Ho1 Ho 0.331 0.669 0.000
Cl1 Cl 0.103 0.417 0.242
Cl2 Cl 0.229 0.256 0.758
Cl3 Cl 0.390 0.058 0.246
Cl4 Cl 0.583 0.897 0.758
Cl5 Cl 0.744 0.771 0.242
Cl6 Cl 0.942 0.610 0.754
```